Record 1
La7PrTm3: calculated powder X-ray diffraction pattern (λ = 1.5418 Å (Cu Kα)), based on a structure optimized by DFT (PBE).

Atomic structure:
```
La7PrTm3
1.0
6.639 0.000 0.000
-0.633 6.749 0.000
-1.404 -1.621 8.654
La Pr Tm
7 1 3
direct
0.000 0.000 0.000
0.044 0.708 0.643
0.214 0.221 0.708
0.481 0.738 0.908
0.519 0.262 0.092
0.786 0.779 0.292
0.956 0.292 0.357
0.000 0.500 0.000
0.316 0.924 0.338
0.500 0.500 0.500
0.684 0.076 0.662
```

Most intense lines, 10 to 80 degrees two-theta, by angle:
| Position (°2θ) | I/Imax |
| --- | --- |
| 30.8 | 21 |
| 31.0 | 69 |
| 31.4 | 100 |
| 31.5 | 23 |
| 31.7 | 46 |
| 32.4 | 29 |



Record 2
La3PrTm7: calculated powder X-ray diffraction pattern (λ = 1.5418 Å (Cu Kα)), based on a structure optimized by DFT (PBE).

Atomic structure:
```
La3PrTm7
1.0
6.540 0.000 0.000
-0.587 6.665 0.000
-1.280 -1.560 8.392
La Pr Tm
3 1 7
direct
0.000 0.000 0.000
0.200 0.560 0.160
0.800 0.440 0.840
0.500 0.000 0.500
0.013 0.766 0.581
0.279 0.277 0.786
0.440 0.793 0.854
0.500 0.500 0.500
0.560 0.207 0.146
0.721 0.723 0.214
0.987 0.234 0.419
```

Most intense lines, 10 to 80 degrees two-theta, by angle:
| Position (°2θ) | I/Imax |
| --- | --- |
| 31.4 | 100 |
| 32.0 | 95 |
| 32.2 | 92 |
| 32.4 | 35 |
| 33.0 | 39 |
| 34.6 | 22 |